Entry 1:
Structure and computed powder X-ray diffraction pattern of LiZn4Cu (DFT lattice parameters and positions (GGA-PBE); Cu Kα, 1.54184 Å).
Kinematic intensities with the Lorentz-polarization factor, no thermal factor.

Main lines, in order of falling intensity (15 to 90 degrees two-theta):
- 44.07°, intensity 100.0
- 38.56°, intensity 26.7
- 41.73°, intensity 25.9
- 77.81°, intensity 16.7
- 58.11°, intensity 15.1
- 21.98°, intensity 14.3
- 30.24°, intensity 12.8
- 84.66°, intensity 11.7
- 69.71°, intensity 10.2
- 86.39°, intensity 8.2

Atomic structure:
a = 4.329 Å, b = 4.666 Å, c = 4.666 Å
α = 119.84°, β = 90.00°, γ = 90.00°
Element x y z (fractional)
Li1 0.000 0.000 0.000
Zn1 0.000 0.327 0.654
Zn2 0.000 0.654 0.327
Zn3 0.500 0.662 0.994
Zn4 0.500 0.994 0.662
Cu1 0.500 0.331 0.331



Entry 2:
Structure and computed powder X-ray diffraction pattern of Lu3Cu2 (DFT lattice parameters and positions (GGA-PBE); Cu Kα, 1.54184 Å).
Kinematic intensities with the Lorentz-polarization factor, no thermal factor.

Main lines, in order of falling intensity (15 to 90 degrees two-theta):
- 33.47°, intensity 100.0
- 35.18°, intensity 60.1
- 38.13°, intensity 54.1
- 32.57°, intensity 52.9
- 35.01°, intensity 43.9
- 29.16°, intensity 39.3
- 27.87°, intensity 31.7
- 42.40°, intensity 29.1
- 50.81°, intensity 29.0
- 35.59°, intensity 27.4

Atomic structure:
a = 6.861 Å, b = 6.861 Å, c = 9.501 Å
α = 104.23°, β = 104.23°, γ = 30.37°
Element x y z (fractional)
Lu1 0.088 0.088 0.161
Lu2 0.350 0.350 0.119
Lu3 0.366 0.366 0.511
Lu4 0.634 0.634 0.489
Lu5 0.650 0.650 0.881
Lu6 0.912 0.912 0.839
Cu1 0.038 0.038 0.644
Cu2 0.245 0.245 0.726
Cu3 0.755 0.755 0.274
Cu4 0.962 0.962 0.356



Entry 3:
Structure and computed powder X-ray diffraction pattern of LuMgCuTe3 (DFT lattice parameters and positions (GGA-PBE); Cu Kα, 1.54184 Å).
Kinematic intensities with the Lorentz-polarization factor, no thermal factor.

Main lines, in order of falling intensity (15 to 90 degrees two-theta):
- 33.46°, intensity 100.0
- 27.35°, intensity 46.3
- 29.19°, intensity 32.3
- 30.31°, intensity 31.0
- 42.65°, intensity 30.9
- 24.12°, intensity 25.7
- 44.41°, intensity 24.7
- 39.86°, intensity 20.3
- 42.35°, intensity 17.9
- 34.86°, intensity 17.3

Atomic structure:
a = 11.085 Å, b = 4.079 Å, c = 13.874 Å
α = 90.00°, β = 90.00°, γ = 90.00°
Element x y z (fractional)
Lu1 0.004 0.250 0.248
Lu2 0.496 0.750 0.748
Lu3 0.504 0.250 0.252
Lu4 0.996 0.750 0.752
Mg1 0.244 0.750 0.528
Mg2 0.256 0.250 0.028
Mg3 0.744 0.750 0.972
Mg4 0.756 0.250 0.472
Cu1 0.246 0.250 0.727
Cu2 0.254 0.750 0.227
Cu3 0.746 0.250 0.773
Cu4 0.754 0.750 0.273
Te1 0.067 0.250 0.603
Te2 0.076 0.750 0.101
Te3 0.247 0.750 0.850
Te4 0.253 0.250 0.350
Te5 0.424 0.250 0.601
Te6 0.433 0.750 0.103
Te7 0.567 0.250 0.897
Te8 0.576 0.750 0.399
Te9 0.747 0.750 0.650
Te10 0.753 0.250 0.150
Te11 0.924 0.250 0.899
Te12 0.933 0.750 0.397



Entry 4:
Structure and computed powder X-ray diffraction pattern of Lu3CuN2 (DFT lattice parameters and positions (GGA-PBE); Cu Kα, 1.54184 Å).
Kinematic intensities with the Lorentz-polarization factor, no thermal factor.

Main lines, in order of falling intensity (15 to 90 degrees two-theta):
- 36.05°, intensity 100.0
- 38.74°, intensity 44.9
- 31.13°, intensity 42.9
- 54.73°, intensity 33.9
- 67.98°, intensity 22.0
- 37.11°, intensity 21.1
- 52.93°, intensity 20.1
- 67.29°, intensity 16.0
- 27.62°, intensity 13.2
- 32.17°, intensity 12.9

Atomic structure:
a = 3.355 Å, b = 3.355 Å, c = 19.379 Å
α = 90.00°, β = 90.00°, γ = 120.00°
Element x y z (fractional)
Lu1 0.000 0.000 0.000
Lu2 0.000 0.000 0.500
Lu3 0.333 0.667 0.140
Lu4 0.333 0.667 0.360
Lu5 0.667 0.333 0.640
Lu6 0.667 0.333 0.860
Cu1 0.000 0.000 0.250
Cu2 0.000 0.000 0.750
N1 0.333 0.667 0.572
N2 0.333 0.667 0.928
N3 0.667 0.333 0.072
N4 0.667 0.333 0.428



Entry 5:
Structure and computed powder X-ray diffraction pattern of Lu2Nb4Cu3N3 (DFT lattice parameters and positions (GGA-PBE); Cu Kα, 1.54184 Å).
Kinematic intensities with the Lorentz-polarization factor, no thermal factor.

Main lines, in order of falling intensity (15 to 90 degrees two-theta):
- 38.56°, intensity 100.0
- 33.41°, intensity 30.3
- 42.63°, intensity 20.2
- 32.72°, intensity 18.4
- 58.40°, intensity 18.1
- 65.26°, intensity 16.5
- 40.32°, intensity 14.7
- 68.97°, intensity 12.0
- 34.60°, intensity 10.3
- 36.55°, intensity 9.6

Atomic structure:
a = 5.475 Å, b = 5.475 Å, c = 13.791 Å
α = 101.49°, β = 101.49°, γ = 59.96°
Element x y z (fractional)
Lu1 0.040 0.877 0.618
Lu2 0.123 0.960 0.882
Lu3 0.877 0.040 0.118
Lu4 0.960 0.123 0.382
Nb1 0.193 0.359 0.083
Nb2 0.303 0.477 0.417
Nb3 0.359 0.193 0.583
Nb4 0.477 0.303 0.917
Nb5 0.523 0.697 0.083
Nb6 0.641 0.807 0.417
Nb7 0.697 0.523 0.583
Nb8 0.807 0.641 0.917
Cu1 0.085 0.399 0.751
Cu2 0.399 0.085 0.251
Cu3 0.430 0.570 0.250
Cu4 0.570 0.430 0.750
Cu5 0.601 0.915 0.749
Cu6 0.915 0.601 0.249
N1 0.000 0.500 0.500
N2 0.159 0.682 0.000
N3 0.318 0.841 0.500
N4 0.500 0.000 0.000
N5 0.682 0.159 0.500
N6 0.841 0.318 0.000



Entry 6:
Structure and computed powder X-ray diffraction pattern of Lu4Cu3W2N3 (DFT lattice parameters and positions (GGA-PBE); Cu Kα, 1.54184 Å).
Kinematic intensities with the Lorentz-polarization factor, no thermal factor.

Main lines, in order of falling intensity (15 to 90 degrees two-theta):
- 37.65°, intensity 100.0
- 37.98°, intensity 46.9
- 31.69°, intensity 27.3
- 56.19°, intensity 21.5
- 40.87°, intensity 18.6
- 31.49°, intensity 13.1
- 32.22°, intensity 12.0
- 26.92°, intensity 11.9
- 32.48°, intensity 11.7
- 56.57°, intensity 10.6

Atomic structure:
a = 5.648 Å, b = 5.648 Å, c = 13.675 Å
α = 102.37°, β = 102.37°, γ = 60.41°
Element x y z (fractional)
Lu1 0.042 0.197 0.108
Lu2 0.119 0.301 0.393
Lu3 0.197 0.042 0.608
Lu4 0.301 0.119 0.893
Lu5 0.699 0.881 0.107
Lu6 0.803 0.958 0.392
Lu7 0.881 0.699 0.607
Lu8 0.958 0.803 0.892
Cu1 0.166 0.834 0.250
Cu2 0.341 0.413 0.752
Cu3 0.413 0.341 0.252
Cu4 0.587 0.659 0.748
Cu5 0.659 0.587 0.248
Cu6 0.834 0.166 0.750
W1 0.352 0.525 0.069
W2 0.475 0.648 0.431
W3 0.525 0.352 0.569
W4 0.648 0.475 0.931
N1 0.000 0.500 0.000
N2 0.164 0.669 0.500
N3 0.331 0.836 0.000
N4 0.500 0.000 0.500
N5 0.669 0.164 0.000
N6 0.836 0.331 0.500